[1]
For MgTi2Mn2O6, DFT lattice parameters and positions (PBE+U) gives the computed PXRD pattern in this record (Cu Kα).

Cell and atoms:
Lattice parameters (Å, degrees): 5.171 5.178 6.008 65.97 65.54 60.70
Space group P-1 (No. 2)
Asymmetric unit:
Mg  0.000  0.000  0.000 (multiplicity 1)
Ti  0.358  0.351  0.952 (multiplicity 2)
Mn  0.168  0.172  0.492 (multiplicity 2)
O  0.050  0.415  0.784 (multiplicity 2)
O  0.249  0.941  0.221 (multiplicity 2)
O  0.413  0.759  0.775 (multiplicity 2)

Top 12 peaks for 10° ≤ 2θ ≤ 90°, low angle first:
- 2θ = 22.69°, I 39.6, (1 0 1)
- 2θ = 33.93°, I 21.3, (0 0 2)
- 2θ = 34.30°, I 55.6, (1 -1 0)
- 2θ = 34.68°, I 100.0, (1 2 1)
- 2θ = 48.67°, I 37.3, (1 2 -1)
- 2θ = 48.81°, I 26.3, (1 -1 2)
- 2θ = 48.91°, I 23.4, (2 1 -1)
- 2θ = 49.23°, I 37.6, (-1 1 2)
- 2θ = 49.72°, I 38.1, (2 1 3)
- 2θ = 49.90°, I 23.8, (1 2 3)
- 2θ = 61.67°, I 45.7, (0 3 1)
- 2θ = 62.41°, I 21.4, (3 3 2)

[2]
For MgTiMnV4O12, DFT lattice parameters and positions (PBE+U) gives the computed PXRD pattern in this record (Cu Kα).

Cell and atoms:
Lattice parameters (Å, degrees): 11.283 8.815 5.473 90.00 112.99 90.00
Space group C2 (No. 5)
Asymmetric unit:
Mg  0.000  0.000  0.000 (multiplicity 2)
Ti  0.000  0.202  0.500 (multiplicity 2)
Mn  0.000  0.390  0.000 (multiplicity 2)
V  0.214  0.689  0.994 (multiplicity 4)
V  0.224  0.895  0.529 (multiplicity 4)
O  0.093  0.043  0.398 (multiplicity 4)
O  0.102  0.352  0.419 (multiplicity 4)
O  0.115  0.193  0.897 (multiplicity 4)
O  0.150  0.832  0.129 (multiplicity 4)
O  0.158  0.718  0.655 (multiplicity 4)
O  0.177  0.512  0.090 (multiplicity 4)

Top 12 peaks for 10° ≤ 2θ ≤ 90°, low angle first:
- 2θ = 13.17°, I 27.9, (1 1 0)
- 2θ = 17.07°, I 9.2, (2 0 0)
- 2θ = 19.16°, I 13.8, (1 1 -1)
- 2θ = 20.15°, I 9.6, (0 2 0)
- 2θ = 26.88°, I 13.3, (0 2 1)
- 2θ = 27.68°, I 40.4, (3 1 0)
- 2θ = 27.94°, I 100.0, (2 2 -1)
- 2θ = 35.65°, I 50.0, (0 0 2)
- 2θ = 41.32°, I 17.8, (1 1 2)
- 2θ = 45.59°, I 8.9, (2 4 -1)
- 2θ = 51.04°, I 26.9, (5 3 -1)
- 2θ = 54.58°, I 20.1, (2 2 -3)

[3]
For MgTiMnV4O12, DFT lattice parameters and positions (PBE+U) gives the computed PXRD pattern in this record (Cu Kα).

Cell and atoms:
Lattice parameters (Å, degrees): 10.961 9.350 5.630 90.00 103.96 90.00
Space group C2 (No. 5)
Asymmetric unit:
Mg  0.000  0.000  0.000 (multiplicity 2)
Ti  0.000  0.334  0.000 (multiplicity 2)
Mn  0.000  0.524  0.500 (multiplicity 2)
V  0.209  0.853  0.585 (multiplicity 4)
V  0.248  0.052  0.125 (multiplicity 4)
O  0.090  0.475  0.859 (multiplicity 4)
O  0.116  0.182  0.990 (multiplicity 4)
O  0.129  0.372  0.351 (multiplicity 4)
O  0.144  0.935  0.292 (multiplicity 4)
O  0.152  0.931  0.817 (multiplicity 4)
O  0.164  0.673  0.573 (multiplicity 4)

Top 12 peaks for 10° ≤ 2θ ≤ 90°, low angle first:
- 2θ = 12.60°, I 10.6, (1 1 0)
- 2θ = 16.67°, I 7.2, (2 0 0)
- 2θ = 18.94°, I 100.0, (1 1 -1)
- 2θ = 26.89°, I 19.4, (3 1 0)
- 2θ = 27.93°, I 29.2, (2 2 -1)
- 2θ = 32.43°, I 16.3, (2 2 1)
- 2θ = 33.17°, I 19.7, (1 3 -1)
- 2θ = 37.16°, I 13.8, (1 1 2)
- 2θ = 51.36°, I 11.1, (5 3 -1)
- 2θ = 52.09°, I 10.7, (4 4 0)
- 2θ = 57.41°, I 7.7, (1 3 -3)
- 2θ = 62.25°, I 7.4, (3 5 -2)

[4]
For MgMn2V2O8, DFT lattice parameters and positions (PBE+U) gives the computed PXRD pattern in this record (Cu Kα).

Cell and atoms:
Lattice parameters (Å, degrees): 8.979 5.870 6.540 90.00 93.43 90.00
Space group C2/m (No. 12)
Asymmetric unit:
Mg  0.000  0.000  0.000 (multiplicity 2)
Mn  0.000  0.500  0.000 (multiplicity 2)
Mn  0.000  0.500  0.500 (multiplicity 2)
V  0.164  0.000  0.707 (multiplicity 4)
O  0.036  0.232  0.758 (multiplicity 8)
O  0.231  0.500  0.066 (multiplicity 4)
O  0.233  0.500  0.500 (multiplicity 4)

Top 12 peaks for 10° ≤ 2θ ≤ 90°, low angle first:
- 2θ = 19.81°, I 38.2, (2 0 0)
- 2θ = 22.29°, I 59.8, (1 1 -1)
- 2θ = 23.02°, I 89.5, (1 1 1)
- 2θ = 24.76°, I 74.8, (2 0 1)
- 2θ = 30.45°, I 100.0, (0 2 0)
- 2θ = 32.43°, I 45.8, (1 1 -2)
- 2θ = 33.46°, I 71.8, (1 1 2)
- 2θ = 33.66°, I 66.1, (3 1 0)
- 2θ = 40.25°, I 25.1, (4 0 0)
- 2θ = 41.37°, I 40.4, (0 2 2)
- 2θ = 45.49°, I 59.1, (2 2 -2)
- 2θ = 60.38°, I 41.7, (4 2 2)

[5]
For MgMn2V2O8, DFT lattice parameters and positions (PBE+U) gives the computed PXRD pattern in this record (Cu Kα).

Cell and atoms:
Lattice parameters (Å, degrees): 6.609 5.693 9.790 90.00 90.00 90.00
Space group Amm2 (No. 38)
Asymmetric unit:
Mg  0.000  0.000  0.000 (multiplicity 2)
Mn  0.275  0.000  0.245 (multiplicity 4)
V  0.000  0.000  0.732 (multiplicity 2)
V  0.500  0.000  0.562 (multiplicity 2)
O  0.000  0.216  0.154 (multiplicity 4)
O  0.196  0.000  0.845 (multiplicity 4)
O  0.290  0.000  0.456 (multiplicity 4)
O  0.500  0.240  0.164 (multiplicity 4)

Top 12 peaks for 10° ≤ 2θ ≤ 90°, low angle first:
- 2θ = 18.10°, I 65.3, (0 0 2)
- 2θ = 22.54°, I 87.8, (1 1 1)
- 2θ = 31.43°, I 44.5, (0 2 0)
- 2θ = 31.60°, I 16.8, (0 1 3)
- 2θ = 32.66°, I 100.0, (2 0 2)
- 2θ = 34.46°, I 32.4, (1 1 3)
- 2θ = 42.03°, I 17.5, (2 1 3)
- 2θ = 45.99°, I 17.1, (2 2 2)
- 2θ = 49.09°, I 18.9, (0 2 4)
- 2θ = 56.72°, I 17.0, (2 3 1)
- 2θ = 57.01°, I 30.1, (2 1 5)
- 2θ = 65.81°, I 11.8, (3 2 4)

[6]
For MgMn2V2O7, DFT lattice parameters and positions (PBE+U) gives the computed PXRD pattern in this record (Cu Kα).

Cell and atoms:
Lattice parameters (Å, degrees): 5.335 5.661 5.733 112.06 97.56 99.73
Space group P1 (No. 1)
Asymmetric unit:
Mg  0.000  0.000  0.000 (multiplicity 1)
Mn  0.447  0.558  0.516 (multiplicity 1)
Mn  0.486  0.881  0.133 (multiplicity 1)
V  0.087  0.958  0.523 (multiplicity 1)
V  0.854  0.464  0.045 (multiplicity 1)
O  0.193  0.653  0.242 (multiplicity 1)
O  0.246  0.844  0.764 (multiplicity 1)
O  0.255  0.151  0.362 (multiplicity 1)
O  0.713  0.647  0.872 (multiplicity 1)
O  0.740  0.215  0.154 (multiplicity 1)
O  0.752  0.749  0.367 (multiplicity 1)
O  0.990  0.219  0.788 (multiplicity 1)

Top 12 peaks for 10° ≤ 2θ ≤ 90°, low angle first:
- 2θ = 17.08°, I 35.0, (0 0 1)
- 2θ = 17.40°, I 62.3, (0 1 0)
- 2θ = 25.28°, I 83.7, (1 -1 1)
- 2θ = 25.96°, I 100.0, (1 1 -1)
- 2θ = 26.90°, I 81.9, (1 0 1)
- 2θ = 27.43°, I 82.2, (1 1 0)
- 2θ = 29.64°, I 78.1, (-1 1 1)
- 2θ = 35.20°, I 48.5, (2 -1 0)
- 2θ = 44.00°, I 42.1, (-1 1 2)
- 2θ = 44.21°, I 39.3, (-1 2 1)
- 2θ = 50.37°, I 34.8, (2 -1 2)
- 2θ = 60.36°, I 38.0, (0 2 2)

[7]
For MgMnV3O8, DFT lattice parameters and positions (PBE+U) gives the computed PXRD pattern in this record (Cu Kα).

Cell and atoms:
Lattice parameters (Å, degrees): 5.386 5.881 6.703 87.63 89.54 88.95
Space group P1 (No. 1)
Asymmetric unit:
Mg  0.000  0.000  0.000 (multiplicity 1)
Mn  0.991  0.505  0.717 (multiplicity 1)
V  0.487  0.321  0.997 (multiplicity 1)
V  0.492  0.820  0.261 (multiplicity 1)
V  0.987  0.000  0.508 (multiplicity 1)
O  0.026  0.290  0.497 (multiplicity 1)
O  0.060  0.841  0.747 (multiplicity 1)
O  0.143  0.898  0.265 (multiplicity 1)
O  0.167  0.298  0.946 (multiplicity 1)
O  0.532  0.511  0.185 (multiplicity 1)
O  0.628  0.431  0.791 (multiplicity 1)
O  0.632  0.045  0.056 (multiplicity 1)
O  0.666  0.908  0.478 (multiplicity 1)

Top 12 peaks for 10° ≤ 2θ ≤ 90°, low angle first:
- 2θ = 19.69°, I 97.2, (0 1 1)
- 2θ = 20.52°, I 41.2, (0 1 -1)
- 2θ = 21.09°, I 87.6, (1 0 1)
- 2θ = 21.25°, I 100.0, (1 0 -1)
- 2θ = 26.30°, I 28.2, (1 1 -1)
- 2θ = 26.53°, I 32.8, (1 -1 1)
- 2θ = 30.17°, I 36.0, (0 1 2)
- 2θ = 30.43°, I 37.3, (0 2 0)
- 2θ = 31.29°, I 43.4, (0 1 -2)
- 2θ = 33.28°, I 73.0, (2 0 0)
- 2θ = 34.79°, I 23.1, (-1 1 2)
- 2θ = 35.57°, I 31.4, (1 -1 2)

[8]
For Mg6MnVO8, DFT lattice parameters and positions (PBE+U) gives the computed PXRD pattern in this record (Cu Kα).

Cell and atoms:
Lattice parameters (Å, degrees): 4.320 4.320 8.655 90.00 90.00 90.00
Space group P4/mmm (No. 123)
Asymmetric unit:
Mg  0.000  0.000  0.000 (multiplicity 1)
Mg  0.000  0.000  0.500 (multiplicity 1)
Mg  0.000  0.500  0.249 (multiplicity 4)
Mn  0.500  0.500  0.500 (multiplicity 1)
V  0.500  0.500  0.000 (multiplicity 1)
O  0.000  0.000  0.250 (multiplicity 2)
O  0.000  0.500  0.000 (multiplicity 2)
O  0.000  0.500  0.500 (multiplicity 2)
O  0.500  0.500  0.248 (multiplicity 2)

Top 12 peaks for 10° ≤ 2θ ≤ 90°, low angle first:
- 2θ = 20.55°, I 13.8, (1 0 0)
- 2θ = 29.22°, I 11.2, (1 1 0)
- 2θ = 35.99°, I 22.6, (1 1 2)
- 2θ = 41.80°, I 100.0, (2 0 0)
- 2θ = 47.01°, I 5.3, (2 1 0)
- 2θ = 51.81°, I 3.8, (2 1 2)
- 2θ = 60.60°, I 56.6, (2 2 0)
- 2θ = 64.68°, I 1.3, (0 0 6)
- 2θ = 72.46°, I 3.9, (1 1 6)
- 2θ = 72.57°, I 7.7, (3 1 2)
- 2θ = 76.32°, I 17.1, (2 2 4)
- 2θ = 83.71°, I 1.1, (3 1 4)